For Pm2Zn3Ag4, a crystal structure in Alexandria, relaxed with PBE gives the simulated powder diffractogram in this record (a wavelength of 1.5418 Å).

Structural model:
```
data_Pm2Zn3Ag4
_chemical_formula_sum 'Pm8 Zn12 Ag16'
_cell_length_a 5.809
_cell_length_b 15.680
_cell_length_c 8.124
_cell_angle_alpha 90.00
_cell_angle_beta 90.00
_cell_angle_gamma 90.00
_space_group_name_H-M_alt 'C m c e'
_space_group_IT_number 64
_space_group_name_Hall '-C 2ac 2'
loop_
_atom_site_label
_atom_site_type_symbol
_atom_site_fract_x
_atom_site_fract_y
_atom_site_fract_z
_atom_site_occupancy
Pm1 Pm 0.000 0.114 0.088 1
Zn1 Zn 0.000 0.000 0.500 1
Zn2 Zn 0.250 0.228 0.750 1
Ag1 Ag 0.000 0.181 0.481 1
Ag2 Ag 0.250 0.057 0.750 1
```

Top 6 peaks for 15° ≤ 2θ ≤ 90°, by intensity:
34.3 deg, I 100, hkl 1 5 1
38.1 deg, I 99, hkl 2 0 2
35.1 deg, I 58, hkl 0 2 3
34.7 deg, I 53, hkl 2 2 1
36.1 deg, I 33, hkl 0 6 1
31.9 deg, I 28, hkl 1 3 2


For PmZn12Ag7, a crystal structure in Alexandria, relaxed with PBE gives the simulated powder diffractogram in this record (a wavelength of 1.5418 Å).

Structural model:
```
data_PmZn12Ag7
_chemical_formula_sum 'Pm2 Zn24 Ag14'
_cell_length_a 9.432
_cell_length_b 9.432
_cell_length_c 9.432
_cell_angle_alpha 90.00
_cell_angle_beta 90.00
_cell_angle_gamma 90.00
_space_group_name_H-M_alt 'I m -3'
_space_group_IT_number 204
_space_group_name_Hall '-I 2 2 3'
loop_
_atom_site_label
_atom_site_type_symbol
_atom_site_fract_x
_atom_site_fract_y
_atom_site_fract_z
_atom_site_occupancy
Pm1 Pm 0.000 0.000 0.000 1
Zn1 Zn 0.000 0.248 0.355 1
Ag1 Ag 0.000 0.000 0.500 1
Ag2 Ag 0.250 0.250 0.250 1
```

Top 6 peaks for 15° ≤ 2θ ≤ 90°, by intensity:
47.2 deg, I 100, hkl 4 2 2
26.7 deg, I 73, hkl 2 2 0
38.2 deg, I 53, hkl 4 0 0
75.4 deg, I 49, hkl 6 2 4
42.9 deg, I 28, hkl 4 2 0
23.1 deg, I 21, hkl 2 1 1


Repeat the first record exactly.
For Pm2Zn3Ag4, a crystal structure in Alexandria, relaxed with PBE gives the simulated powder diffractogram in this record (a wavelength of 1.5418 Å).

Structural model:
```
data_Pm2Zn3Ag4
_chemical_formula_sum 'Pm8 Zn12 Ag16'
_cell_length_a 5.809
_cell_length_b 15.680
_cell_length_c 8.124
_cell_angle_alpha 90.00
_cell_angle_beta 90.00
_cell_angle_gamma 90.00
_space_group_name_H-M_alt 'C m c e'
_space_group_IT_number 64
_space_group_name_Hall '-C 2ac 2'
loop_
_atom_site_label
_atom_site_type_symbol
_atom_site_fract_x
_atom_site_fract_y
_atom_site_fract_z
_atom_site_occupancy
Pm1 Pm 0.000 0.114 0.088 1
Zn1 Zn 0.000 0.000 0.500 1
Zn2 Zn 0.250 0.228 0.750 1
Ag1 Ag 0.000 0.181 0.481 1
Ag2 Ag 0.250 0.057 0.750 1
```

Top 6 peaks for 15° ≤ 2θ ≤ 90°, by intensity:
34.3 deg, I 100, hkl 1 5 1
38.1 deg, I 99, hkl 2 0 2
35.1 deg, I 58, hkl 0 2 3
34.7 deg, I 53, hkl 2 2 1
36.1 deg, I 33, hkl 0 6 1
31.9 deg, I 28, hkl 1 3 2